The following is a computed powder X-ray diffraction pattern of Hf3TlFe. It was derived from DFT lattice parameters and positions (PBE), using Cu Kα X-rays.
No peak broadening, texture or thermal motion is included.

a = 8.0382 Å, b = 3.4699 Å, c = 8.1080 Å
α = 90.00°, β = 114.06°, γ = 90.00°
Space group P2_1/m (No. 11)
One atom of each set of equivalent atoms:
Hf (0.0728, 0.2500, 0.3128) (multiplicity 2)
Hf (0.2927, 0.2500, 0.9861) (multiplicity 2)
Hf (0.3971, 0.7500, 0.3344) (multiplicity 2)
Tl (0.2899, 0.7500, 0.6675) (multiplicity 2)
Fe (0.0874, 0.7500, 0.0710) (multiplicity 2)

Principal peaks in the range 15° ≤ 2θ ≤ 90°, most intense first:
| two_theta | I_rel | hkl |
| --- | --- | --- |
| 32.89 | 100 | 1 1 1 |
| 36.41 | 91 | 0 0 3 |
| 34.09 | 91 | 1 1 -2 |
| 37.10 | 75 | 2 1 -2 |
| 33.57 | 49 | 3 0 -1 |
| 40.92 | 44 | 2 1 1 |